No. 1
Starting from a DFT-relaxed cell (PBE, Alexandria), the X-ray diffraction stick pattern of CaSmBeN2 was calculated for Cu Kα, 1.54184 Å.

Peak list (6 most intense, 10 to 90 degrees two-theta, sorted by position)
two_theta, I/Imax, h k l
16.84, 30, 0 1 0
17.77, 48, 1 0 0
24.58, 100, 1 1 0
26.80, 29, 0 0 2
36.68, 82, 1 1 2
43.85, 27, 0 2 2

Atomic structure:
```
data_CaSmBeN2
_cell_length_a 4.990
_cell_length_b 5.266
_cell_length_c 6.654
_cell_angle_alpha 90.00
_cell_angle_beta 90.00
_cell_angle_gamma 90.00
_space_group_name_H-M_alt 'P c c m'
_space_group_IT_number 49
_space_group_name_Hall '-P 2 2c'
loop_
_atom_site_label
_atom_site_fract_x
_atom_site_fract_y
_atom_site_fract_z
Ca1 0.000 0.000 0.250
Sm1 0.500 0.500 0.250
Be1 0.500 0.000 0.000
N1 0.301 0.226 0.000
```



No. 2
Starting from a DFT-relaxed cell (PBE, Alexandria), the X-ray diffraction stick pattern of CaTmBeN2 was calculated for Cu Kα, 1.54184 Å.

Peak list (6 most intense, 10 to 90 degrees two-theta, sorted by position)
two_theta, I/Imax, h k l
17.49, 35, 0 1 0
17.59, 55, 1 0 0
24.90, 100, 1 1 0
27.66, 28, 0 0 2
32.94, 35, 0 1 2
37.56, 78, 1 1 2

Atomic structure:
```
data_CaTmBeN2
_cell_length_a 5.043
_cell_length_b 5.072
_cell_length_c 6.449
_cell_angle_alpha 90.00
_cell_angle_beta 90.00
_cell_angle_gamma 90.00
_space_group_name_H-M_alt 'P c c m'
_space_group_IT_number 49
_space_group_name_Hall '-P 2 2c'
loop_
_atom_site_label
_atom_site_fract_x
_atom_site_fract_y
_atom_site_fract_z
Ca1 0.000 0.000 0.250
Tm1 0.500 0.500 0.250
Be1 0.500 0.000 0.000
N1 0.308 0.239 0.000
```



No. 3
Starting from a DFT-relaxed cell (PBE, Alexandria), the X-ray diffraction stick pattern of Na3CaBe was calculated for Cu Kα, 1.54184 Å.

Peak list (6 most intense, 10 to 90 degrees two-theta, sorted by position)
two_theta, I/Imax, h k l
22.90, 14, 1 1 0
28.15, 100, 1 1 1
32.61, 63, 2 0 0
46.79, 42, 2 2 0
55.50, 39, 3 1 1
77.79, 16, 4 2 0

Atomic structure:
```
data_Na3CaBe
_cell_length_a 5.491
_cell_length_b 5.491
_cell_length_c 5.491
_cell_angle_alpha 90.00
_cell_angle_beta 90.00
_cell_angle_gamma 90.00
_space_group_name_H-M_alt 'P m -3 m'
_space_group_IT_number 221
_space_group_name_Hall '-P 4 2 3'
loop_
_atom_site_label
_atom_site_fract_x
_atom_site_fract_y
_atom_site_fract_z
Na1 0.000 0.000 0.500
Ca1 0.500 0.500 0.500
Be1 0.000 0.000 0.000
```



No. 4
Starting from a DFT-relaxed cell (PBE, Alexandria), the X-ray diffraction stick pattern of NaCaBeS2 was calculated for Cu Kα, 1.54184 Å.

Peak list (6 most intense, 10 to 90 degrees two-theta, sorted by position)
two_theta, I/Imax, h k l
21.49, 78, 1 1 0
24.09, 54, 1 1 -1
25.05, 100, 1 1 1
31.44, 44, 1 1 -2
39.57, 63, 0 2 2
43.80, 54, 2 2 0

Atomic structure:
```
data_NaCaBeS2
_cell_length_a 5.986
_cell_length_b 5.728
_cell_length_c 7.530
_cell_angle_alpha 90.00
_cell_angle_beta 93.78
_cell_angle_gamma 90.00
_space_group_name_H-M_alt 'P 1 2/c 1'
_space_group_IT_number 13
_space_group_name_Hall '-P 2yc'
loop_
_atom_site_label
_atom_site_fract_x
_atom_site_fract_y
_atom_site_fract_z
Na1 0.000 0.011 0.250
Ca1 0.500 0.458 0.750
Be1 0.500 0.000 0.000
S1 0.270 0.241 0.012
```



No. 5
Starting from a DFT-relaxed cell (PBE, Alexandria), the X-ray diffraction stick pattern of CaNd2BeO5 was calculated for Cu Kα, 1.54184 Å.

Peak list (6 most intense, 10 to 90 degrees two-theta, sorted by position)
two_theta, I/Imax, h k l
20.59, 55, 1 1 1
29.83, 100, 1 1 2
31.13, 70, 2 0 2
31.35, 99, 3 1 0
31.52, 63, 1 2 1
38.39, 39, 1 2 2

Atomic structure:
```
data_CaNd2BeO5
_cell_length_a 9.518
_cell_length_b 6.528
_cell_length_c 7.209
_cell_angle_alpha 90.00
_cell_angle_beta 90.00
_cell_angle_gamma 90.00
_space_group_name_H-M_alt 'P n a 21'
_space_group_IT_number 33
_space_group_name_Hall 'P 2c -2n'
loop_
_atom_site_label
_atom_site_fract_x
_atom_site_fract_y
_atom_site_fract_z
Ca1 0.178 0.079 0.000
Nd1 0.023 0.598 0.766
Nd2 0.171 0.072 0.547
Be1 0.104 0.807 0.268
O1 0.012 0.019 0.270
O2 0.071 0.687 0.077
O3 0.075 0.693 0.462
O4 0.222 0.360 0.769
O5 0.226 0.333 0.268
```



No. 6
Starting from a DFT-relaxed cell (PBE, Alexandria), the X-ray diffraction stick pattern of CaBeNi was calculated for Cu Kα, 1.54184 Å.

Peak list (6 most intense, 10 to 90 degrees two-theta, sorted by position)
two_theta, I/Imax, h k l
27.06, 29, 1 0 0
34.63, 100, 1 0 1
47.81, 28, 1 1 0
60.36, 18, 2 0 1
66.36, 19, 1 1 2
80.44, 14, 2 1 1

Atomic structure:
```
data_CaBeNi
_cell_length_a 3.8052
_cell_length_b 3.8052
_cell_length_c 4.1913
_cell_angle_alpha 90.00
_cell_angle_beta 90.00
_cell_angle_gamma 120.00
_space_group_name_H-M_alt 'P -6 m 2'
_space_group_IT_number 187
_space_group_name_Hall 'P -6 2'
loop_
_atom_site_label
_atom_site_fract_x
_atom_site_fract_y
_atom_site_fract_z
Ca1 0.0000 0.0000 0.0000
Be1 0.6667 0.3333 0.5000
Ni1 0.3333 0.6667 0.5000
```



No. 7
Starting from a DFT-relaxed cell (PBE, Alexandria), the X-ray diffraction stick pattern of Ca2NpBe2O6 was calculated for Cu Kα, 1.54184 Å.

Peak list (6 most intense, 10 to 90 degrees two-theta, sorted by position)
two_theta, I/Imax, h k l
15.07, 27, 0 0 1
18.92, 41, 1 0 0
24.28, 100, 0 1 1
33.08, 28, 1 1 0
36.07, 36, 1 0 2
41.46, 27, 2 0 1

Atomic structure:
```
data_Ca2NpBe2O6
_cell_length_a 5.4154
_cell_length_b 5.4154
_cell_length_c 5.8772
_cell_angle_alpha 90.00
_cell_angle_beta 90.00
_cell_angle_gamma 120.00
_space_group_name_H-M_alt 'P -3'
_space_group_IT_number 147
_space_group_name_Hall '-P 3'
loop_
_atom_site_label
_atom_site_fract_x
_atom_site_fract_y
_atom_site_fract_z
Ca1 0.3333 0.6667 0.3700
Np1 0.0000 0.0000 0.0000
Be1 0.3333 0.6667 0.8148
O1 0.0696 0.7015 0.7732
```



No. 8
Starting from a DFT-relaxed cell (PBE, Alexandria), the X-ray diffraction stick pattern of CaBe2P2O8 was calculated for Cu Kα, 1.54184 Å.

Peak list (6 most intense, 10 to 90 degrees two-theta, sorted by position)
two_theta, I/Imax, h k l
22.61, 47, 2 0 0
24.05, 100, 1 0 2
25.32, 69, 1 2 -1
29.25, 54, 0 2 2
32.32, 42, 1 3 0
40.65, 44, 0 4 0

Atomic structure:
```
data_CaBe2P2O8
_cell_length_a 7.871
_cell_length_b 8.871
_cell_length_c 8.421
_cell_angle_alpha 90.00
_cell_angle_beta 90.45
_cell_angle_gamma 90.00
_space_group_name_H-M_alt 'P 1 21/c 1'
_space_group_IT_number 14
_space_group_name_Hall '-P 2ybc'
loop_
_atom_site_label
_atom_site_fract_x
_atom_site_fract_y
_atom_site_fract_z
Ca1 0.245 0.085 0.387
Be1 0.069 0.079 0.769
Be2 0.430 0.695 0.443
P1 0.061 0.698 0.440
P2 0.439 0.083 0.764
O1 0.004 0.087 0.191
O2 0.056 0.637 0.875
O3 0.067 0.192 0.921
O4 0.240 0.656 0.496
O5 0.258 0.080 0.687
O6 0.437 0.194 0.905
O7 0.438 0.633 0.870
O8 0.494 0.074 0.187
```